For TaNbCu6Se8, a cell relaxed with GGA-PBE gives the theoretical powder X-ray diffraction pattern in this record (Cu Kα).
Peak positions follow from Bragg's law for the DFT cell and can differ from measured ones.

```
16
Lattice="0.000 5.692 5.692 5.692 0.000 5.692 5.692 5.692 0.000" Properties=species:S:1:pos:R:3 pbc="T T T"
Ta 0.000 0.000 0.000
Nb 5.692 5.692 5.692
Cu 5.692 5.692 2.847
Cu 5.692 2.847 5.692
Cu 8.537 5.692 5.692
Cu 2.847 5.692 5.692
Cu 5.692 8.537 5.692
Cu 5.692 5.692 8.537
Se 7.118 4.266 4.266
Se 1.424 1.424 1.424
Se 4.268 4.268 1.424
Se 4.268 1.424 4.268
Se 4.266 7.118 4.266
Se 1.424 4.268 4.268
Se 4.266 4.266 7.118
Se 7.118 7.118 7.118
```

Principal peaks in the range 2θ = 5–70°, most intense first:
- 45.05°, d = 2.012 Å, rel. 100
- 15.57°, d = 5.692 Å, rel. 72
- 27.13°, d = 3.286 Å, rel. 66
- 35.26°, d = 2.546 Å, rel. 39
- 53.39°, d = 1.716 Å, rel. 29
- 47.95°, d = 1.897 Å, rel. 20
- 65.61°, d = 1.423 Å, rel. 16
- 67.90°, d = 1.380 Å, rel. 11
- 58.46°, d = 1.579 Å, rel. 9
- 22.09°, d = 4.025 Å, rel. 7


For NbCu3Te2Se2, a cell relaxed with GGA-PBE gives the theoretical powder X-ray diffraction pattern in this record (Cu Kα).
Peak positions follow from Bragg's law for the DFT cell and can differ from measured ones.

```
16
Lattice="8.205 0.000 0.000 0.000 8.363 0.000 0.000 0.000 5.839" Properties=species:S:1:pos:R:3 pbc="T T T"
Nb 0.000 0.000 0.000
Nb 4.103 4.181 0.000
Cu 0.000 0.000 2.870
Cu 2.051 2.091 0.058
Cu 2.051 6.272 0.058
Cu 4.103 4.181 2.870
Cu 6.154 2.091 0.058
Cu 6.154 6.272 0.058
Te 1.924 4.181 4.304
Te 2.179 0.000 4.304
Te 6.026 0.000 4.304
Te 6.282 4.181 4.304
Se 0.000 2.018 1.427
Se 0.000 6.345 1.427
Se 4.103 2.164 1.427
Se 4.103 6.199 1.427
```

Principal peaks in the range 2θ = 5–70°, most intense first:
- 43.79°, d = 2.067 Å, rel. 100
- 26.21°, d = 3.399 Å, rel. 77
- 26.55°, d = 3.357 Å, rel. 66
- 15.15°, d = 5.850 Å, rel. 56
- 52.05°, d = 1.757 Å, rel. 33
- 34.29°, d = 2.615 Å, rel. 30
- 43.28°, d = 2.091 Å, rel. 26
- 44.15°, d = 2.051 Å, rel. 24
- 51.50°, d = 1.775 Å, rel. 20
- 63.54°, d = 1.464 Å, rel. 15


For NbVCu6Se8, a cell relaxed with GGA-PBE gives the theoretical powder X-ray diffraction pattern in this record (Cu Kα).
Peak positions follow from Bragg's law for the DFT cell and can differ from measured ones.

```
16
Lattice="5.650 0.000 0.000 0.000 5.650 0.000 0.000 0.000 11.293" Properties=species:S:1:pos:R:3 pbc="T T T"
Nb 0.000 0.000 0.000
V 0.000 0.000 5.646
Cu 0.000 0.000 2.844
Cu 0.000 0.000 8.449
Cu 0.000 2.825 0.000
Cu 0.000 2.825 5.646
Cu 2.825 0.000 0.000
Cu 2.825 0.000 5.646
Se 1.366 1.366 7.008
Se 1.366 4.284 4.285
Se 1.422 1.422 1.425
Se 1.422 4.227 9.868
Se 4.227 1.422 9.868
Se 4.227 4.227 1.425
Se 4.284 1.366 4.285
Se 4.284 4.284 7.008
```

Principal peaks in the range 2θ = 5–70°, most intense first:
- 45.42°, d = 1.997 Å, rel. 100
- 27.35°, d = 3.261 Å, rel. 91
- 15.69°, d = 5.648 Å, rel. 49
- 53.83°, d = 1.703 Å, rel. 40
- 35.54°, d = 2.526 Å, rel. 21
- 66.18°, d = 1.412 Å, rel. 15
- 48.34°, d = 1.883 Å, rel. 12
- 58.96°, d = 1.567 Å, rel. 6
- 68.49°, d = 1.370 Å, rel. 6
- 7.83°, d = 11.293 Å, rel. 1


For TaNbCu6Te8, a cell relaxed with GGA-PBE gives the theoretical powder X-ray diffraction pattern in this record (Cu Kα).
Peak positions follow from Bragg's law for the DFT cell and can differ from measured ones.

```
16
Lattice="8.525 0.000 0.000 0.000 8.525 0.000 0.000 0.000 6.015" Properties=species:S:1:pos:R:3 pbc="T T T"
Ta 0.000 0.000 0.000
Nb 4.263 4.263 0.000
Cu 0.000 0.000 3.008
Cu 2.131 2.131 0.000
Cu 2.131 6.394 0.000
Cu 4.263 4.263 3.008
Cu 6.394 2.131 0.000
Cu 6.394 6.394 0.000
Te 0.000 2.179 1.537
Te 0.000 6.346 1.537
Te 2.084 4.263 4.480
Te 2.179 0.000 4.479
Te 4.263 2.084 1.535
Te 4.263 6.442 1.535
Te 6.346 0.000 4.479
Te 6.442 4.263 4.480
```

Principal peaks in the range 2θ = 5–70°, most intense first:
- 42.44°, d = 2.130 Å, rel. 100
- 25.61°, d = 3.478 Å, rel. 93
- 50.23°, d = 1.816 Å, rel. 43
- 14.71°, d = 6.024 Å, rel. 36
- 33.26°, d = 2.694 Å, rel. 28
- 67.81°, d = 1.382 Å, rel. 17
- 45.15°, d = 2.008 Å, rel. 11
- 61.53°, d = 1.507 Å, rel. 11
- 63.68°, d = 1.461 Å, rel. 8
- 61.68°, d = 1.504 Å, rel. 5


For Nb2CuTe4, a cell relaxed with GGA-PBE gives the theoretical powder X-ray diffraction pattern in this record (Cu Kα).
Peak positions follow from Bragg's law for the DFT cell and can differ from measured ones.

```
7
Lattice="6.768 0.000 0.000 0.000 3.684 0.000 -2.182 0.000 7.012" Properties=species:S:1:pos:R:3 pbc="T T T"
Nb 0.000 0.000 0.000
Nb 0.312 1.842 6.939
Cu 3.032 1.842 2.901
Te 0.583 1.842 1.984
Te -0.340 0.000 4.968
Te 4.166 0.000 1.414
Te 2.932 1.842 5.479
```

Principal peaks in the range 2θ = 5–70°, most intense first:
- 32.42°, d = 2.762 Å, rel. 100
- 44.51°, d = 2.036 Å, rel. 43
- 31.59°, d = 2.832 Å, rel. 39
- 28.91°, d = 3.088 Å, rel. 39
- 47.25°, d = 1.924 Å, rel. 37
- 27.61°, d = 3.231 Å, rel. 34
- 12.62°, d = 7.012 Å, rel. 27
- 49.49°, d = 1.842 Å, rel. 24
- 43.36°, d = 2.087 Å, rel. 22
- 35.34°, d = 2.540 Å, rel. 21


For NbCu3Te4, a cell relaxed with GGA-PBE gives the theoretical powder X-ray diffraction pattern in this record (Cu Kα).
Peak positions follow from Bragg's law for the DFT cell and can differ from measured ones.

```
8
Lattice="5.983 0.000 0.000 0.000 5.983 0.000 0.000 0.000 5.983" Properties=species:S:1:pos:R:3 pbc="T T T"
Nb 0.000 0.000 0.000
Cu 0.000 0.000 2.991
Cu 0.000 2.991 0.000
Cu 2.991 0.000 0.000
Te 1.544 1.544 1.544
Te 1.544 4.439 4.439
Te 4.439 1.544 4.439
Te 4.439 4.439 1.544
```

Principal peaks in the range 2θ = 5–70°, most intense first:
- 25.79°, d = 3.454 Å, rel. 100
- 42.75°, d = 2.115 Å, rel. 94
- 50.60°, d = 1.804 Å, rel. 46
- 14.81°, d = 5.983 Å, rel. 22
- 33.49°, d = 2.675 Å, rel. 21
- 68.35°, d = 1.372 Å, rel. 18
- 62.05°, d = 1.496 Å, rel. 15
- 45.48°, d = 1.994 Å, rel. 8
- 29.87°, d = 2.991 Å, rel. 7
- 64.19°, d = 1.451 Å, rel. 6


For Nb3Cu2Te6, a cell relaxed with GGA-PBE gives the theoretical powder X-ray diffraction pattern in this record (Cu Kα).
Peak positions follow from Bragg's law for the DFT cell and can differ from measured ones.

```
22
Lattice="6.996 0.000 0.000 3.336 7.249 0.000 2.262 -0.271 11.046" Properties=species:S:1:pos:R:3 pbc="T T T"
Nb 1.446 0.046 3.158
Nb 3.390 1.603 8.178
Nb 5.375 4.093 6.579
Nb 7.219 2.885 4.467
Nb 9.204 5.374 2.868
Nb 11.148 6.932 7.888
Cu 1.213 0.763 0.204
Cu 6.762 6.194 7.529
Cu 5.831 0.783 3.517
Cu 11.380 6.215 10.841
Te 2.068 1.177 5.808
Te 4.287 4.214 9.061
Te 4.255 5.531 1.032
Te 4.516 2.984 3.966
Te 6.783 5.666 4.446
Te 8.453 6.937 9.316
Te 4.141 0.041 1.730
Te 5.811 1.312 6.600
Te 8.078 3.994 7.080
Te 8.338 1.447 10.013
Te 8.306 2.764 1.985
Te 10.526 5.801 5.238
```

Principal peaks in the range 2θ = 5–70°, most intense first:
- 37.94°, d = 2.372 Å, rel. 100
- 8.00°, d = 11.046 Å, rel. 98
- 38.09°, d = 2.363 Å, rel. 72
- 35.35°, d = 2.539 Å, rel. 57
- 31.47°, d = 2.843 Å, rel. 53
- 29.17°, d = 3.062 Å, rel. 52
- 25.63°, d = 3.475 Å, rel. 52
- 36.79°, d = 2.443 Å, rel. 50
- 31.74°, d = 2.819 Å, rel. 47
- 37.52°, d = 2.397 Å, rel. 44


For NdCu6, a cell relaxed with GGA-PBE gives the theoretical powder X-ray diffraction pattern in this record (Cu Kα).
Peak positions follow from Bragg's law for the DFT cell and can differ from measured ones.

```
28
Lattice="8.068 0.000 0.000 0.000 5.113 0.000 0.000 0.000 10.146" Properties=species:S:1:pos:R:3 pbc="T T T"
Nd 1.941 1.278 0.649
Nd 2.093 3.835 5.722
Nd 5.975 1.278 4.424
Nd 6.127 3.835 9.497
Cu 0.496 3.835 0.981
Cu 0.547 0.023 3.127
Cu 0.547 2.534 3.127
Cu 0.795 1.278 5.224
Cu 1.183 3.835 8.694
Cu 1.462 1.278 7.634
Cu 2.573 3.835 2.561
Cu 2.851 1.278 3.621
Cu 3.239 3.835 0.151
Cu 3.488 2.579 8.200
Cu 3.488 5.090 8.200
Cu 3.538 1.278 6.054
Cu 4.530 3.835 4.092
Cu 4.581 0.023 1.946
Cu 4.581 2.534 1.946
Cu 4.829 1.278 9.995
Cu 5.217 3.835 6.525
Cu 5.496 1.278 7.585
Cu 6.607 3.835 2.512
Cu 6.885 1.278 1.452
Cu 7.274 3.835 4.922
Cu 7.522 2.579 7.019
Cu 7.522 5.090 7.019
Cu 7.572 1.278 9.165
```

Principal peaks in the range 2θ = 5–70°, most intense first:
- 38.91°, d = 2.315 Å, rel. 100
- 45.87°, d = 1.978 Å, rel. 57
- 37.16°, d = 2.420 Å, rel. 30
- 41.86°, d = 2.158 Å, rel. 23
- 35.10°, d = 2.557 Å, rel. 21
- 42.81°, d = 2.112 Å, rel. 18
- 39.47°, d = 2.283 Å, rel. 16
- 31.72°, d = 2.821 Å, rel. 14
- 46.13°, d = 1.968 Å, rel. 14
- 65.48°, d = 1.425 Å, rel. 11


For NdCu2, a cell relaxed with GGA-PBE gives the theoretical powder X-ray diffraction pattern in this record (Cu Kα).
Peak positions follow from Bragg's law for the DFT cell and can differ from measured ones.

```
12
Lattice="4.354 0.000 0.000 0.000 7.065 0.000 0.000 0.000 7.332" Properties=species:S:1:pos:R:3 pbc="T T T"
Nd 0.000 1.766 0.300
Nd 0.000 5.298 7.032
Nd 2.177 1.766 3.366
Nd 2.177 5.298 3.966
Cu 0.000 0.372 4.877
Cu 0.000 3.160 4.877
Cu 0.000 3.904 2.455
Cu 0.000 6.693 2.455
Cu 2.177 0.372 6.120
Cu 2.177 3.160 6.120
Cu 2.177 3.904 1.211
Cu 2.177 6.693 1.211
```

Principal peaks in the range 2θ = 5–70°, most intense first:
- 34.92°, d = 2.569 Å, rel. 100
- 42.41°, d = 2.131 Å, rel. 44
- 35.29°, d = 2.544 Å, rel. 41
- 34.41°, d = 2.606 Å, rel. 33
- 41.48°, d = 2.177 Å, rel. 32
- 68.35°, d = 1.372 Å, rel. 23
- 55.57°, d = 1.654 Å, rel. 22
- 23.77°, d = 3.743 Å, rel. 17
- 40.22°, d = 2.242 Å, rel. 17
- 59.16°, d = 1.562 Å, rel. 10